No. 1
The following is a calculated powder X-ray diffraction pattern of Pm2GeAu. It was derived from a crystal structure in the Materials Project, relaxed with GGA-PBE, using Cu Ka.
Lines closer than 0.1° are merged.

The 7 most intense peaks (2θ from 5° to 70°), low angle first:
2θ = 20.85°, I = 10; 2θ = 34.38°, I = 100; 2θ = 40.55°, I = 6; 2θ = 49.41°, I = 18; 2θ = 54.19°, I = 3; 2θ = 61.58°, I = 37; 2θ = 65.76°, I = 2

Structural model:
Cell lengths 7.378, 7.378, 7.378 Å; angles 90.00, 90.00, 90.00 degrees
Element x y z (fractional)
Pm1 0.250 0.250 0.250
Pm2 0.250 0.250 0.750
Pm3 0.250 0.750 0.250
Pm4 0.250 0.750 0.750
Pm5 0.750 0.250 0.250
Pm6 0.750 0.250 0.750
Pm7 0.750 0.750 0.250
Pm8 0.750 0.750 0.750
Ge1 0.000 0.000 0.000
Ge2 0.000 0.500 0.500
Ge3 0.500 0.000 0.500
Ge4 0.500 0.500 0.000
Au1 0.000 0.000 0.500
Au2 0.000 0.500 0.000
Au3 0.500 0.000 0.000
Au4 0.500 0.500 0.500

---

No. 2
The following is a calculated powder X-ray diffraction pattern of PrGeAu. It was derived from a crystal structure in the Materials Project, relaxed with GGA-PBE, using Cu Ka.
Lines closer than 0.1° are merged.

The 12 most intense peaks (2θ from 5° to 70°), low angle first:
2θ = 22.47°, I = 8; 2θ = 25.37°, I = 30; 2θ = 32.16°, I = 100; 2θ = 39.86°, I = 65; 2θ = 41.27°, I = 14; 2θ = 45.88°, I = 12; 2θ = 46.24°, I = 7; 2θ = 47.84°, I = 6; 2θ = 52.11°, I = 26; 2θ = 62.37°, I = 28; 2θ = 63.39°, I = 7; 2θ = 67.55°, I = 24

Structural model:
Cell lengths 4.523, 4.523, 7.912 Å; angles 90.00, 90.00, 120.00 degrees
Element x y z (fractional)
Pr1 0.000 0.000 0.000
Pr2 0.000 0.000 0.500
Ge1 0.333 0.667 0.216
Ge2 0.667 0.333 0.716
Au1 0.333 0.667 0.767
Au2 0.667 0.333 0.267

---

No. 3
The following is a calculated powder X-ray diffraction pattern of Pr2Ge6Au. It was derived from a crystal structure in the Materials Project, relaxed with GGA-PBE, using Cu Ka.
Lines closer than 0.1° are merged.

The 12 most intense peaks (2θ from 5° to 70°), low angle first:
2θ = 7.84°, I = 33; 2θ = 22.43°, I = 11; 2θ = 31.83°, I = 32; 2θ = 32.26°, I = 100; 2θ = 35.08°, I = 10; 2θ = 41.23°, I = 19; 2θ = 41.96°, I = 22; 2θ = 42.71°, I = 24; 2θ = 42.95°, I = 24; 2θ = 54.44°, I = 14; 2θ = 61.42°, I = 15; 2θ = 62.18°, I = 16

Structural model:
Cell lengths 4.234, 11.467, 11.467 Å; angles 21.16, 90.00, 90.00 degrees
Element x y z (fractional)
Pr1 0.000 0.000 0.000
Pr2 0.000 0.337 0.337
Ge1 0.000 0.602 0.602
Ge2 0.000 0.713 0.713
Ge3 0.500 0.101 0.101
Ge4 0.500 0.213 0.213
Ge5 0.500 0.455 0.455
Ge6 0.500 0.891 0.891
Au1 0.500 0.780 0.780

---

No. 4
The following is a calculated powder X-ray diffraction pattern of Rb3Ge4Au. It was derived from a crystal structure in the Materials Project, relaxed with GGA-PBE, using Cu Ka.
Lines closer than 0.1° are merged.

The 12 most intense peaks (2θ from 5° to 70°), low angle first:
2θ = 13.92°, I = 69; 2θ = 14.44°, I = 100; 2θ = 25.44°, I = 78; 2θ = 28.06°, I = 33; 2θ = 32.24°, I = 21; 2θ = 32.55°, I = 55; 2θ = 34.15°, I = 58; 2θ = 36.27°, I = 44; 2θ = 46.03°, I = 34; 2θ = 46.16°, I = 19; 2θ = 50.69°, I = 26; 2θ = 53.31°, I = 23

Structural model:
Cell lengths 6.999, 12.721, 6.229 Å; angles 90.00, 90.00, 90.00 degrees
Element x y z (fractional)
Rb1 0.250 0.014 0.167
Rb2 0.250 0.250 0.576
Rb3 0.250 0.486 0.167
Rb4 0.750 0.514 0.833
Rb5 0.750 0.750 0.424
Rb6 0.750 0.986 0.833
Ge1 0.052 0.750 0.940
Ge2 0.250 0.641 0.670
Ge3 0.250 0.859 0.670
Ge4 0.448 0.750 0.940
Ge5 0.552 0.250 0.060
Ge6 0.750 0.141 0.330
Ge7 0.750 0.359 0.330
Ge8 0.948 0.250 0.060
Au1 0.250 0.750 0.307
Au2 0.750 0.250 0.693

---

No. 5
The following is a calculated powder X-ray diffraction pattern of SmGeAu. It was derived from a crystal structure in the Materials Project, relaxed with GGA-PBE, using Cu Ka.
Lines closer than 0.1° are merged.

The 12 most intense peaks (2θ from 5° to 70°), low angle first:
2θ = 23.36°, I = 6; 2θ = 25.66°, I = 31; 2θ = 32.87°, I = 100; 2θ = 40.04°, I = 68; 2θ = 42.48°, I = 16; 2θ = 47.76°, I = 10; 2θ = 48.16°, I = 6; 2θ = 52.73°, I = 26; 2θ = 59.79°, I = 6; 2θ = 64.03°, I = 25; 2θ = 65.81°, I = 7; 2θ = 68.21°, I = 24

Structural model:
Cell lengths 4.504, 4.504, 7.617 Å; angles 90.00, 90.00, 120.00 degrees
Element x y z (fractional)
Sm1 0.000 0.000 0.000
Sm2 0.000 0.000 0.500
Ge1 0.333 0.667 0.287
Ge2 0.667 0.333 0.787
Au1 0.333 0.667 0.725
Au2 0.667 0.333 0.225

---

No. 6
The following is a calculated powder X-ray diffraction pattern of Sm2Ge6Au. It was derived from a crystal structure in the Materials Project, relaxed with GGA-PBE, using Cu Ka.
Lines closer than 0.1° are merged.

The 12 most intense peaks (2θ from 5° to 70°), low angle first:
2θ = 7.93°, I = 30; 2θ = 15.90°, I = 10; 2θ = 22.74°, I = 10; 2θ = 32.25°, I = 27; 2θ = 32.61°, I = 100; 2θ = 38.85°, I = 9; 2θ = 41.70°, I = 21; 2θ = 42.41°, I = 22; 2θ = 43.31°, I = 48; 2θ = 54.96°, I = 19; 2θ = 62.25°, I = 14; 2θ = 62.91°, I = 16

Structural model:
Cell lengths 4.176, 11.343, 11.343 Å; angles 21.24, 90.00, 90.00 degrees
Element x y z (fractional)
Sm1 0.000 0.000 0.000
Sm2 0.000 0.340 0.340
Ge1 0.000 0.628 0.628
Ge2 0.000 0.741 0.741
Ge3 0.500 0.127 0.127
Ge4 0.500 0.240 0.240
Ge5 0.500 0.447 0.447
Ge6 0.500 0.881 0.881
Au1 0.500 0.559 0.559

---

No. 7
The following is a calculated powder X-ray diffraction pattern of SrGeAu3. It was derived from a crystal structure in the Materials Project, relaxed with GGA-PBE, using Cu Ka.
Lines closer than 0.1° are merged.

The 12 most intense peaks (2θ from 5° to 70°), low angle first:
2θ = 15.84°, I = 22; 2θ = 19.65°, I = 18; 2θ = 21.10°, I = 9; 2θ = 32.26°, I = 100; 2θ = 37.82°, I = 17; 2θ = 39.90°, I = 51; 2θ = 42.97°, I = 37; 2θ = 43.18°, I = 8; 2θ = 56.15°, I = 11; 2θ = 57.70°, I = 18; 2θ = 64.82°, I = 10; 2θ = 67.67°, I = 24

Structural model:
Cell lengths 6.391, 6.391, 5.595 Å; angles 90.00, 90.00, 90.00 degrees
Element x y z (fractional)
Sr1 0.250 0.750 0.000
Sr2 0.750 0.250 0.000
Ge1 0.250 0.250 0.268
Ge2 0.750 0.750 0.732
Au1 0.000 0.000 0.500
Au2 0.000 0.500 0.500
Au3 0.250 0.250 0.822
Au4 0.500 0.000 0.500
Au5 0.500 0.500 0.500
Au6 0.750 0.750 0.178

---

No. 8
The following is a calculated powder X-ray diffraction pattern of Tb2Ge6Au. It was derived from a crystal structure in the Materials Project, relaxed with GGA-PBE, using Cu Ka.
Lines closer than 0.1° are merged.

The 12 most intense peaks (2θ from 5° to 70°), low angle first:
2θ = 7.96°, I = 28; 2θ = 15.97°, I = 10; 2θ = 22.97°, I = 10; 2θ = 32.49°, I = 27; 2θ = 32.91°, I = 100; 2θ = 42.01°, I = 22; 2θ = 42.65°, I = 22; 2θ = 43.65°, I = 24; 2θ = 43.84°, I = 23; 2θ = 55.46°, I = 14; 2θ = 62.81°, I = 15; 2θ = 63.58°, I = 15

Structural model:
Cell lengths 4.131, 11.292, 11.292 Å; angles 21.16, 90.00, 90.00 degrees
Element x y z (fractional)
Tb1 0.000 0.000 0.000
Tb2 0.000 0.342 0.342
Ge1 0.000 0.630 0.630
Ge2 0.000 0.743 0.743
Ge3 0.500 0.129 0.129
Ge4 0.500 0.243 0.243
Ge5 0.500 0.447 0.447
Ge6 0.500 0.880 0.880
Au1 0.500 0.559 0.559

---

No. 9
The following is a calculated powder X-ray diffraction pattern of TbGeAu. It was derived from a crystal structure in the Materials Project, relaxed with GGA-PBE, using Cu Ka.
Lines closer than 0.1° are merged.

The 12 most intense peaks (2θ from 5° to 70°), low angle first:
2θ = 25.92°, I = 33; 2θ = 33.49°, I = 100; 2θ = 40.22°, I = 72; 2θ = 43.54°, I = 20; 2θ = 48.47°, I = 6; 2θ = 49.39°, I = 8; 2θ = 53.31°, I = 27; 2θ = 60.76°, I = 7; 2θ = 64.75°, I = 6; 2θ = 65.51°, I = 20; 2θ = 67.92°, I = 9; 2θ = 68.83°, I = 25

Structural model:
Cell lengths 4.485, 4.485, 7.382 Å; angles 90.00, 90.00, 120.00 degrees
Element x y z (fractional)
Tb1 0.000 0.000 0.000
Tb2 0.000 0.000 0.500
Ge1 0.333 0.667 0.294
Ge2 0.667 0.333 0.794
Au1 0.333 0.667 0.716
Au2 0.667 0.333 0.216

---

No. 10
The following is a calculated powder X-ray diffraction pattern of TmGeAu. It was derived from a crystal structure in the Materials Project, relaxed with GGA-PBE, using Cu Ka.
Lines closer than 0.1° are merged.

The 12 most intense peaks (2θ from 5° to 70°), low angle first:
2θ = 26.24°, I = 34; 2θ = 34.03°, I = 100; 2θ = 40.61°, I = 73; 2θ = 44.35°, I = 21; 2θ = 48.99°, I = 7; 2θ = 50.49°, I = 7; 2θ = 53.99°, I = 27; 2θ = 61.69°, I = 8; 2θ = 65.46°, I = 6; 2θ = 66.71°, I = 18; 2θ = 69.44°, I = 8; 2θ = 69.69°, I = 25

Structural model:
Cell lengths 4.443, 4.443, 7.230 Å; angles 90.00, 90.00, 120.00 degrees
Element x y z (fractional)
Tm1 0.000 0.000 0.000
Tm2 0.000 0.000 0.500
Ge1 0.333 0.667 0.204
Ge2 0.667 0.333 0.704
Au1 0.333 0.667 0.791
Au2 0.667 0.333 0.291

---

No. 11
The following is a calculated powder X-ray diffraction pattern of UGeAu. It was derived from a crystal structure in the Materials Project, relaxed with GGA-PBE, using Cu Ka.
Lines closer than 0.1° are merged.

The 12 most intense peaks (2θ from 5° to 70°), low angle first:
2θ = 23.07°, I = 8; 2θ = 23.82°, I = 15; 2θ = 33.15°, I = 100; 2θ = 37.75°, I = 12; 2θ = 40.54°, I = 59; 2θ = 48.02°, I = 8; 2θ = 53.33°, I = 27; 2θ = 53.92°, I = 4; 2θ = 56.59°, I = 4; 2θ = 59.94°, I = 4; 2θ = 64.60°, I = 20; 2θ = 69.07°, I = 25

Structural model:
Cell lengths 4.451, 4.451, 15.158 Å; angles 90.00, 90.00, 120.00 degrees
Element x y z (fractional)
U1 0.000 0.000 0.000
U2 0.000 0.000 0.250
U3 0.000 0.000 0.500
U4 0.000 0.000 0.750
Ge1 0.333 0.667 0.111
Ge2 0.333 0.667 0.389
Ge3 0.667 0.333 0.611
Ge4 0.667 0.333 0.889
Au1 0.333 0.667 0.643
Au2 0.333 0.667 0.857
Au3 0.667 0.333 0.143
Au4 0.667 0.333 0.357

---

No. 12
The following is a calculated powder X-ray diffraction pattern of UGeAu. It was derived from a crystal structure in the Materials Project, relaxed with GGA-PBE, using Cu Ka.
Lines closer than 0.1° are merged.

The 12 most intense peaks (2θ from 5° to 70°), low angle first:
2θ = 23.77°, I = 17; 2θ = 32.14°, I = 14; 2θ = 32.67°, I = 43; 2θ = 34.59°, I = 100; 2θ = 34.73°, I = 42; 2θ = 35.07°, I = 50; 2θ = 38.63°, I = 74; 2θ = 40.26°, I = 46; 2θ = 54.20°, I = 24; 2θ = 63.78°, I = 17; 2θ = 65.65°, I = 14; 2θ = 69.55°, I = 14

Structural model:
Cell lengths 10.507, 4.480, 6.821 Å; angles 90.00, 128.80, 90.00 degrees
Element x y z (fractional)
U1 0.046 0.000 0.297
U2 0.454 0.500 0.703
U3 0.546 0.500 0.297
U4 0.954 0.000 0.703
Ge1 0.159 0.500 0.688
Ge2 0.341 0.000 0.312
Ge3 0.659 0.000 0.688
Ge4 0.841 0.500 0.312
Au1 0.166 0.500 0.104
Au2 0.334 0.000 0.896
Au3 0.666 0.000 0.104
Au4 0.834 0.500 0.896